# 1
Computed X-ray diffraction stick pattern of La4Cu3MoO12 for Cu Kα (λ = 1.5418 Å), from DFT lattice parameters and positions (PBE+U).

Structural model:
```
data_La4Cu3MoO12
_cell_length_a 7.8235
_cell_length_b 7.9748
_cell_length_c 8.3057
_cell_angle_alpha 92.71
_cell_angle_beta 90.63
_cell_angle_gamma 90.62
_space_group_name_H-M_alt 'P 1'
_space_group_IT_number 1
loop_
_space_group_symop_operation_xyz
'x,y,z'
loop_
_atom_site_label
_atom_site_fract_x
_atom_site_fract_y
_atom_site_fract_z
_atom_site_occupancy
La1 0.2372 0.2975 0.2464 1
La2 0.2494 0.7837 0.2474 1
La3 0.2564 0.2696 0.6964 1
La4 0.2591 0.7843 0.7101 1
La5 0.7409 0.2157 0.2899 1
La6 0.7436 0.7304 0.3036 1
La7 0.7506 0.2163 0.7526 1
La8 0.7628 0.7025 0.7536 1
Cu1 0.0000 0.0000 0.5000 1
Cu2 0.0000 0.5000 0.0000 1
Cu3 0.0000 0.5000 0.5000 1
Cu4 0.5000 0.0000 0.0000 1
Cu5 0.5000 0.0000 0.5000 1
Cu6 0.5000 0.5000 0.5000 1
Mo1 0.0000 0.0000 0.0000 1
Mo2 0.5000 0.5000 0.0000 1
O1 0.0343 0.2444 0.4594 1
O2 0.0475 0.7706 0.9284 1
O3 0.0493 0.0707 0.7845 1
O4 0.0537 0.5460 0.2286 1
O5 0.2380 0.0315 0.0728 1
O6 0.2453 0.9658 0.4834 1
O7 0.2543 0.5298 0.5341 1
O8 0.2634 0.4234 0.9647 1
O9 0.4437 0.7253 0.9389 1
O10 0.4496 0.5580 0.2244 1
O11 0.4562 0.0506 0.7647 1
O12 0.4622 0.2583 0.4560 1
O13 0.5378 0.7417 0.5440 1
O14 0.5438 0.9494 0.2353 1
O15 0.5504 0.4420 0.7756 1
O16 0.5563 0.2747 0.0611 1
O17 0.7366 0.5766 0.0353 1
O18 0.7457 0.4702 0.4659 1
O19 0.7547 0.0342 0.5166 1
O20 0.7620 0.9685 0.9272 1
O21 0.9463 0.4540 0.7714 1
O22 0.9507 0.9293 0.2155 1
O23 0.9525 0.2294 0.0716 1
O24 0.9657 0.7556 0.5406 1
```

Principal peaks in the range 2θ = 15–90°, low angle first:
d (Å)  2theta  I/Imax
2.943  30.4  467
2.862  31.3  515
2.829  31.6  535
2.807  31.9  1000
2.775  32.3  482
2.074  43.6  232
1.991  45.6  195
1.956  46.4  288
1.629  56.5  294
1.616  57.0  199


# 2
Computed X-ray diffraction stick pattern of La4Cu3MoO12 for Cu Kα (λ = 1.5418 Å), from DFT lattice parameters and positions (PBE+U).

Structural model:
```
data_La4Cu3MoO12
_cell_length_a 6.8612
_cell_length_b 6.8612
_cell_length_c 6.8612
_cell_angle_alpha 109.47
_cell_angle_beta 109.47
_cell_angle_gamma 109.47
_space_group_name_H-M_alt 'P 1'
_space_group_IT_number 1
loop_
_space_group_symop_operation_xyz
'x,y,z'
loop_
_atom_site_label
_atom_site_fract_x
_atom_site_fract_y
_atom_site_fract_z
_atom_site_occupancy
La1 0.0000 0.0000 0.5000 1
La2 0.0000 0.5000 0.0000 1
La3 0.5000 0.0000 0.0000 1
La4 0.5000 0.5000 0.5000 1
Cu1 0.0000 0.5000 0.5000 1
Cu2 0.5000 0.0000 0.5000 1
Cu3 0.5000 0.5000 0.0000 1
Mo1 0.0000 0.0000 0.0000 1
O1 0.0000 0.2415 0.2415 1
O2 0.0000 0.7585 0.7585 1
O3 0.2415 0.0000 0.2415 1
O4 0.2415 0.2415 0.0000 1
O5 0.2500 0.5000 0.7500 1
O6 0.2500 0.7500 0.5000 1
O7 0.5000 0.2500 0.7500 1
O8 0.5000 0.7500 0.2500 1
O9 0.7500 0.2500 0.5000 1
O10 0.7500 0.5000 0.2500 1
O11 0.7585 0.0000 0.7585 1
O12 0.7585 0.7585 0.0000 1
```

Principal peaks in the range 2θ = 15–90°, low angle first:
d (Å)  2theta  I/Imax
3.961  22.4  54
2.801  32.0  1000
2.287  39.4  115
1.981  45.8  315
1.772  51.6  30
1.617  56.9  386
1.401  66.8  187
1.253  76.0  165
1.194  80.4  35
1.144  84.8  62


# 3
Computed X-ray diffraction stick pattern of La4Cu3MoO12 for Cu Kα (λ = 1.5418 Å), from DFT lattice parameters and positions (PBE+U).

Structural model:
```
data_La4Cu3MoO12
_cell_length_a 6.9301
_cell_length_b 10.9815
_cell_length_c 7.9738
_cell_angle_alpha 90.00
_cell_angle_beta 90.05
_cell_angle_gamma 90.00
_space_group_name_H-M_alt 'P 1'
_space_group_IT_number 1
loop_
_space_group_symop_operation_xyz
'x,y,z'
loop_
_atom_site_label
_atom_site_fract_x
_atom_site_fract_y
_atom_site_fract_z
_atom_site_occupancy
La1 0.0000 0.2483 0.0000 1
La2 0.0000 0.7517 0.0000 1
La3 0.0087 0.2495 0.4901 1
La4 0.0087 0.7505 0.4901 1
La5 0.4858 0.2525 0.7524 1
La6 0.4858 0.7475 0.7524 1
La7 0.4964 0.2499 0.2418 1
La8 0.4964 0.7501 0.2418 1
Cu1 0.1354 0.5000 0.7781 1
Cu2 0.1414 0.5000 0.2157 1
Cu3 0.3568 0.0000 0.4672 1
Cu4 0.3594 0.0000 0.0305 1
Cu5 0.7060 0.5000 0.9953 1
Cu6 0.7935 0.0000 0.2584 1
Mo1 0.6650 0.5000 0.4970 1
Mo2 0.8246 0.0000 0.7432 1
O1 0.1644 0.3334 0.2440 1
O2 0.1644 0.6666 0.2440 1
O3 0.1648 0.3332 0.7484 1
O4 0.1648 0.6668 0.7484 1
O5 0.3300 0.1662 0.4969 1
O6 0.3300 0.8338 0.4969 1
O7 0.3325 0.1667 0.9995 1
O8 0.3325 0.8333 0.9995 1
O9 0.5093 0.0000 0.2517 1
O10 0.5291 0.5000 0.2976 1
O11 0.5303 0.5000 0.6972 1
O12 0.5591 0.0000 0.7624 1
O13 0.6649 0.3350 0.9958 1
O14 0.6649 0.6650 0.9958 1
O15 0.6660 0.3239 0.4966 1
O16 0.6660 0.6761 0.4966 1
O17 0.8297 0.1761 0.7422 1
O18 0.8297 0.8239 0.7422 1
O19 0.8318 0.1656 0.2449 1
O20 0.8318 0.8344 0.2449 1
O21 0.9333 0.5000 0.4966 1
O22 0.9396 0.0000 0.5315 1
O23 0.9657 0.0000 0.9392 1
O24 0.9885 0.5000 0.9986 1
```

Principal peaks in the range 2θ = 15–90°, low angle first:
d (Å)  2theta  I/Imax
5.491  16.1  130
3.459  25.8  335
3.299  27.0  388
2.927  30.5  1000
2.745  32.6  296
2.150  42.0  280
1.999  45.4  291
1.993  45.5  146
1.617  56.9  328
1.614  57.1  197